Calculated powder diffractogram
Compound: Y4TmSe7
Radiation: Cu Kα (weighted mean of Kα1 and Kα2)
Structure: a GGA-PBE-relaxed structure

The 6 most intense peaks (15° ≤ 2θ ≤ 90°), by angle:
| 2θ/deg | intensity |
| --- | --- |
| 22.81 | 50 |
| 29.39 | 59 |
| 30.27 | 83 |
| 31.82 | 100 |
| 32.83 | 58 |
| 45.75 | 55 |

Cell and atoms:
```
Y4TmSe7
1.0
6.6808 -1.9831 0.0000
6.6808 1.9831 0.0000
-3.0493 0.0000 11.7943
Y Tm Se
4 1 7
Direct
0.0000 0.0000 0.0000
0.1872 0.1872 0.7652
0.5872 0.5872 0.3888
0.8870 0.8870 0.5758
0.7743 0.7743 0.1544
0.1487 0.1487 0.2241
0.2269 0.2269 0.5262
0.3856 0.3856 0.0785
0.5470 0.5470 0.6273
0.6302 0.6302 0.9312
0.8479 0.8479 0.7923
0.9259 0.9259 0.3590
```